1.
Diffraction record for HoGaCuPt2. The powder X-ray diffraction pattern is calculated, not measured: it uses a DFT-relaxed cell (PBE, Alexandria) and Cu Kα X-rays.
Lines closer than 0.1° are merged.

Unit cell a=3.752 b=3.752 c=12.793 alpha=90.00 beta=90.00 gamma=90.00
Positions (direct):
Ho (0.000, 0.000, 0.000)
Ho (0.500, 0.500, 0.500)
Ga (0.000, 0.500, 0.750)
Ga (0.500, 0.000, 0.250)
Cu (0.000, 0.500, 0.250)
Cu (0.500, 0.000, 0.750)
Pt (0.000, 0.000, 0.393)
Pt (0.000, 0.000, 0.607)
Pt (0.500, 0.500, 0.107)
Pt (0.500, 0.500, 0.893)

Peak list (6 most intense, 5° ≤ 2θ ≤ 70°, low angle first)
2θ/deg  Rel. int.
31.77  82
33.79  53
36.67  82
42.78  100
48.53  57
66.66  54

2.
Diffraction record for Ho2Ga2CuPt5. The powder X-ray diffraction pattern is calculated, not measured: it uses a DFT-relaxed cell (PBE, Alexandria) and Cu Kα X-rays.
Lines closer than 0.1° are merged.

Unit cell a=9.696 b=9.696 c=3.708 alpha=90.00 beta=90.00 gamma=90.00
Positions (direct):
Ho (0.175, 0.325, 0.000)
Ho (0.325, 0.825, 0.000)
Ho (0.675, 0.175, 0.000)
Ho (0.825, 0.675, 0.000)
Ga (0.126, 0.626, 0.000)
Ga (0.374, 0.126, 0.000)
Ga (0.626, 0.874, 0.000)
Ga (0.874, 0.374, 0.000)
Cu (0.000, 0.000, 0.000)
Cu (0.500, 0.500, 0.000)
Pt (0.000, 0.500, 0.500)
Pt (0.060, 0.800, 0.500)
Pt (0.200, 0.060, 0.500)
Pt (0.300, 0.560, 0.500)
Pt (0.440, 0.300, 0.500)
Pt (0.500, 0.000, 0.500)
Pt (0.560, 0.700, 0.500)
Pt (0.700, 0.440, 0.500)
Pt (0.800, 0.940, 0.500)
Pt (0.940, 0.200, 0.500)

Peak list (6 most intense, 5° ≤ 2θ ≤ 70°, low angle first)
2θ/deg  Rel. int.
31.75  28
38.09  100
38.27  57
39.43  26
41.48  39
49.15  26

3.
Diffraction record for HoGa2CuRh4. The powder X-ray diffraction pattern is calculated, not measured: it uses a DFT-relaxed cell (PBE, Alexandria) and Cu Kα X-rays.
Lines closer than 0.1° are merged.

Unit cell a=7.723 b=7.723 c=7.723 alpha=32.94 beta=32.94 gamma=32.94
Positions (direct):
Ho (0.000, 0.000, 0.000)
Ga (0.245, 0.245, 0.245)
Ga (0.755, 0.755, 0.755)
Cu (0.500, 0.500, 0.500)
Rh (0.128, 0.128, 0.128)
Rh (0.382, 0.382, 0.382)
Rh (0.618, 0.618, 0.618)
Rh (0.872, 0.872, 0.872)

Peak list (6 most intense, 5° ≤ 2θ ≤ 70°, low angle first)
2θ/deg  Rel. int.
23.81  5
24.85  5
31.20  9
40.66  99
41.23  100
59.29  32

4.
Diffraction record for SmHo2Ga2Cu2. The powder X-ray diffraction pattern is calculated, not measured: it uses a DFT-relaxed cell (PBE, Alexandria) and Cu Kα X-rays.
Lines closer than 0.1° are merged.

Unit cell a=9.486 b=9.486 c=9.486 alpha=26.82 beta=26.82 gamma=26.82
Positions (direct):
Sm (0.000, 0.000, 0.000)
Ho (0.125, 0.125, 0.125)
Ho (0.875, 0.875, 0.875)
Ga (0.261, 0.261, 0.261)
Ga (0.739, 0.739, 0.739)
Cu (0.402, 0.402, 0.402)
Cu (0.598, 0.598, 0.598)

Peak list (6 most intense, 5° ≤ 2θ ≤ 70°, low angle first)
2θ/deg  Rel. int.
23.57  46
32.79  76
35.22  100
41.03  96
55.16  27
66.51  31